Na7Ni17O24: calculated XRD peak list (λ = 1.5418 Å (Cu Kα)), based on DFT lattice parameters and positions (GGA+U).
No peak broadening, texture or thermal motion is included.

Peak list (8 most intense, 2θ from 10° to 90°, low angle first)
d 4.979, intensity 49; d 2.490, intensity 48; d 2.461, intensity 92; d 2.443, intensity 45; d 2.147, intensity 99; d 2.143, intensity 100; d 2.111, intensity 95; d 1.506, intensity 55

a = 5.981 Å, b = 6.027 Å, c = 14.762 Å
α = 89.96°, β = 89.46°, γ = 61.21°
Fractional coordinates of all 48 atoms:
Na 0.000 0.000 0.000
Na 0.028 0.481 0.500
Na 0.176 0.669 0.667
Na 0.332 0.844 0.832
Na 0.369 0.316 0.332
Na 0.496 0.002 0.996
Na 0.874 0.308 0.334
Ni 0.004 0.499 0.998
Ni 0.029 0.978 0.500
Ni 0.183 0.165 0.664
Ni 0.186 0.156 0.166
Ni 0.186 0.656 0.165
Ni 0.336 0.342 0.831
Ni 0.367 0.813 0.334
Ni 0.501 0.503 0.998
Ni 0.524 0.485 0.497
Ni 0.529 0.980 0.501
Ni 0.678 0.167 0.667
Ni 0.679 0.664 0.665
Ni 0.685 0.156 0.166
Ni 0.686 0.656 0.165
Ni 0.833 0.343 0.831
Ni 0.840 0.837 0.835
Ni 0.865 0.809 0.336
O 0.029 0.507 0.237
O 0.033 0.961 0.240
O 0.129 0.215 0.906
O 0.164 0.644 0.917
O 0.196 0.674 0.415
O 0.234 0.106 0.427
O 0.337 0.349 0.088
O 0.342 0.806 0.091
O 0.367 0.837 0.580
O 0.386 0.301 0.589
O 0.524 0.017 0.742
O 0.533 0.504 0.236
O 0.536 0.962 0.240
O 0.545 0.481 0.754
O 0.670 0.196 0.902
O 0.675 0.667 0.415
O 0.697 0.631 0.910
O 0.700 0.126 0.428
O 0.817 0.850 0.582
O 0.834 0.354 0.087
O 0.837 0.313 0.593
O 0.839 0.804 0.090
O 0.966 0.051 0.752
O 0.986 0.492 0.756

=====

Na8Ni9O18: calculated XRD peak list (λ = 1.5418 Å (Cu Kα)), based on DFT lattice parameters and positions (GGA+U).
No peak broadening, texture or thermal motion is included.

Peak list (8 most intense, 2θ from 10° to 90°, low angle first)
d 5.348, intensity 100; d 2.674, intensity 21; d 2.467, intensity 14; d 2.425, intensity 13; d 2.415, intensity 12; d 2.222, intensity 41; d 2.141, intensity 36; d 2.108, intensity 34

a = 7.151 Å, b = 7.645 Å, c = 8.108 Å
α = 66.19°, β = 89.79°, γ = 66.01°
Fractional coordinates of all 35 atoms:
Na 0.052 0.279 0.055
Na 0.184 0.820 0.180
Na 0.288 0.387 0.290
Na 0.390 0.925 0.397
Na 0.610 0.075 0.603
Na 0.712 0.613 0.710
Na 0.816 0.180 0.820
Na 0.948 0.721 0.945
Ni 0.050 0.781 0.552
Ni 0.167 0.331 0.667
Ni 0.282 0.883 0.785
Ni 0.382 0.447 0.888
Ni 0.500 0.000 0.000
Ni 0.618 0.553 0.112
Ni 0.718 0.117 0.215
Ni 0.833 0.669 0.333
Ni 0.950 0.219 0.448
O 0.032 0.026 0.335
O 0.069 0.535 0.768
O 0.113 0.605 0.428
O 0.221 0.057 0.914
O 0.264 0.126 0.569
O 0.303 0.638 0.000
O 0.360 0.690 0.675
O 0.405 0.199 0.103
O 0.454 0.249 0.779
O 0.546 0.751 0.221
O 0.595 0.801 0.897
O 0.640 0.310 0.325
O 0.697 0.362 0.000
O 0.736 0.874 0.431
O 0.779 0.943 0.086
O 0.887 0.395 0.572
O 0.931 0.465 0.232
O 0.968 0.974 0.665

=====

Na9Ni7O16: calculated XRD peak list (λ = 1.5418 Å (Cu Kα)), based on DFT lattice parameters and positions (GGA+U).
No peak broadening, texture or thermal motion is included.

Peak list (8 most intense, 2θ from 10° to 90°, low angle first)
d 5.294, intensity 100; d 2.647, intensity 26; d 2.581, intensity 15; d 2.482, intensity 36; d 2.442, intensity 17; d 2.189, intensity 54; d 2.182, intensity 53; d 2.149, intensity 50

a = 6.958 Å, b = 7.031 Å, c = 7.959 Å
α = 65.54°, β = 76.97°, γ = 69.20°
Fractional coordinates of all 32 atoms:
Na 0.000 0.000 0.000
Na 0.056 0.430 0.691
Na 0.187 0.298 0.067
Na 0.312 0.186 0.431
Na 0.423 0.060 0.813
Na 0.577 0.940 0.187
Na 0.688 0.814 0.569
Na 0.813 0.702 0.933
Na 0.944 0.570 0.309
Ni 0.126 0.867 0.383
Ni 0.252 0.744 0.750
Ni 0.378 0.617 0.130
Ni 0.500 0.500 0.500
Ni 0.622 0.383 0.870
Ni 0.748 0.256 0.250
Ni 0.874 0.133 0.617
O 0.008 0.796 0.643
O 0.144 0.051 0.709
O 0.144 0.656 0.006
O 0.246 0.538 0.405
O 0.281 0.914 0.137
O 0.366 0.440 0.771
O 0.374 0.810 0.494
O 0.499 0.308 0.152
O 0.501 0.692 0.848
O 0.626 0.190 0.506
O 0.634 0.560 0.229
O 0.719 0.086 0.863
O 0.754 0.462 0.595
O 0.856 0.344 0.994
O 0.856 0.949 0.291
O 0.992 0.204 0.357

=====

Na2Ni3O6: calculated XRD peak list (λ = 1.5418 Å (Cu Kα)), based on DFT lattice parameters and positions (GGA+U).
No peak broadening, texture or thermal motion is included.

Peak list (8 most intense, 2θ from 10° to 90°, low angle first)
d 5.441, intensity 100; d 2.720, intensity 15; d 2.449, intensity 12; d 2.380, intensity 15; d 2.196, intensity 28; d 2.110, intensity 47; d 1.691, intensity 11; d 1.582, intensity 14

a = 4.960 Å, b = 4.971 Å, c = 5.671 Å
α = 81.61°, β = 73.63°, γ = 62.39°
Fractional coordinates of all 11 atoms:
Na 0.169 0.172 0.001
Na 0.831 0.828 0.999
Ni 0.000 0.500 0.500
Ni 0.334 0.833 0.500
Ni 0.666 0.167 0.500
O 0.064 0.833 0.314
O 0.261 0.509 0.684
O 0.413 0.146 0.311
O 0.587 0.854 0.689
O 0.739 0.491 0.316
O 0.936 0.167 0.686

=====

Na2ZrNiP4O14: calculated XRD peak list (λ = 1.5418 Å (Cu Kα)), based on DFT lattice parameters and positions (GGA+U).
No peak broadening, texture or thermal motion is included.

Peak list (8 most intense, 2θ from 10° to 90°, low angle first)
d 5.655, intensity 100; d 4.519, intensity 65; d 3.260, intensity 83; d 3.203, intensity 89; d 3.131, intensity 44; d 3.100, intensity 75; d 2.933, intensity 86; d 2.880, intensity 90

a = 6.591 Å, b = 6.604 Å, c = 7.022 Å
α = 65.85°, β = 85.48°, γ = 81.81°
Fractional coordinates of all 22 atoms:
Na 0.000 0.000 0.000
Na 0.298 0.388 0.704
Zr 0.768 0.785 0.616
Ni 0.452 0.607 0.066
P 0.251 0.933 0.585
P 0.488 0.060 0.172
P 0.726 0.353 0.471
P 0.978 0.492 0.067
O 0.052 0.335 0.966
O 0.084 0.789 0.579
O 0.134 0.630 0.090
O 0.176 0.095 0.680
O 0.313 0.065 0.347
O 0.425 0.924 0.063
O 0.443 0.764 0.694
O 0.503 0.304 0.029
O 0.518 0.458 0.374
O 0.687 0.945 0.301
O 0.726 0.106 0.623
O 0.781 0.655 0.955
O 0.800 0.485 0.584
O 0.895 0.344 0.298

=====

NaPaNiO4: calculated XRD peak list (λ = 1.5418 Å (Cu Kα)), based on DFT lattice parameters and positions (GGA+U).
No peak broadening, texture or thermal motion is included.

Peak list (8 most intense, 2θ from 10° to 90°, low angle first)
d 5.151, intensity 100; d 2.941, intensity 58; d 2.764, intensity 29; d 2.636, intensity 24; d 2.576, intensity 19; d 2.387, intensity 31; d 1.794, intensity 21; d 1.605, intensity 23

a = 6.473 Å, b = 6.473 Å, c = 6.473 Å
α = 120.73°, β = 112.79°, γ = 95.83°
Fractional coordinates of all 14 atoms:
Na 0.388 0.138 0.250
Na 0.612 0.862 0.750
Pa 0.000 0.500 0.500
Pa 0.500 0.500 0.000
Ni 0.000 0.000 0.500
Ni 0.000 0.500 0.000
O 0.192 0.740 0.452
O 0.212 0.260 0.952
O 0.250 0.290 0.540
O 0.250 0.709 0.960
O 0.750 0.291 0.040
O 0.750 0.710 0.460
O 0.788 0.740 0.048
O 0.808 0.260 0.548